1.
For CaLaAl3O7, DFT lattice parameters and positions (GGA-PBE) gives the computed X-ray powder pattern in this record (Cu Kα (weighted mean of Kα1 and Kα2)).

Main lines, by angle (10° ≤ 2θ ≤ 90°):
d [Å], I_rel
7.870, 43.3
3.785, 33.9
3.141, 32.8
2.928, 100.0
2.904, 91.6
2.490, 35.3

Crystal structure
```
data_CaLaAl3O7
_cell_length_a 5.206
_cell_length_b 7.875
_cell_length_c 7.871
_cell_angle_alpha 90.00
_cell_angle_beta 90.76
_cell_angle_gamma 90.00
_symmetry_space_group_name_H-M 'P 1 21 1'
_symmetry_Int_Tables_number 4
_symmetry_space_group_name_Hall 'P 2yb'
loop_
_atom_site_label
_atom_site_fract_x
_atom_site_fract_y
_atom_site_fract_z
Ca1 0.013 0.000 0.421
La1 0.013 0.674 0.095
Al1 0.458 0.191 0.603
Al2 0.461 0.479 0.890
Al3 0.500 0.335 0.249
O1 0.202 0.972 0.102
O2 0.205 0.690 0.384
O3 0.303 0.999 0.665
O4 0.305 0.422 0.083
O5 0.309 0.240 0.406
O6 0.310 0.676 0.847
O7 0.316 0.339 0.743
```

2.
For LiCaAl3, DFT lattice parameters and positions (GGA-PBE) gives the computed X-ray powder pattern in this record (Cu Kα (weighted mean of Kα1 and Kα2)).

Main lines, by angle (10° ≤ 2θ ≤ 90°):
d [Å], I_rel
6.005, 26.1
3.002, 22.2
2.622, 33.4
2.606, 100.0
2.083, 17.7
1.511, 17.1

Crystal structure
```
data_LiCaAl3
_cell_length_a 6.9338
_cell_length_b 6.9338
_cell_length_c 5.2438
_cell_angle_alpha 90.00
_cell_angle_beta 90.00
_cell_angle_gamma 120.00
_symmetry_space_group_name_H-M 'P 63/m'
_symmetry_Int_Tables_number 176
_symmetry_space_group_name_Hall '-P 6c'
loop_
_atom_site_label
_atom_site_fract_x
_atom_site_fract_y
_atom_site_fract_z
Li1 0.0000 0.0000 0.2500
Ca1 0.3333 0.6667 0.2500
Al1 0.1841 0.4044 0.7500
```

3.
For LiCaAlN2, DFT lattice parameters and positions (GGA-PBE) gives the computed X-ray powder pattern in this record (Cu Kα (weighted mean of Kα1 and Kα2)).

Main lines, by angle (10° ≤ 2θ ≤ 90°):
d [Å], I_rel
4.447, 20.7
2.642, 100.0
2.608, 22.0
2.598, 31.9
2.075, 40.5
1.693, 35.4

Crystal structure
```
data_LiCaAlN2
_cell_length_a 5.790
_cell_length_b 6.900
_cell_length_c 5.829
_cell_angle_alpha 90.00
_cell_angle_beta 90.26
_cell_angle_gamma 90.00
_symmetry_space_group_name_H-M 'P 1 21/c 1'
_symmetry_Int_Tables_number 14
_symmetry_space_group_name_Hall '-P 2ybc'
loop_
_atom_site_label
_atom_site_fract_x
_atom_site_fract_y
_atom_site_fract_z
Li1 0.132 0.098 0.092
Ca1 0.473 0.128 0.759
Al1 0.121 0.640 0.073
N1 0.212 0.107 0.435
N2 0.232 0.647 0.393
```

4.
For CaMg14Al, DFT lattice parameters and positions (GGA-PBE) gives the computed X-ray powder pattern in this record (Cu Kα (weighted mean of Kα1 and Kα2)).

Main lines, by angle (10° ≤ 2θ ≤ 90°):
d [Å], I_rel
2.783, 24.0
2.627, 26.7
2.459, 100.0
1.607, 17.0
1.482, 18.6
1.371, 19.0

Crystal structure
```
data_CaMg14Al
_cell_length_a 6.4271
_cell_length_b 6.4271
_cell_length_c 10.5098
_cell_angle_alpha 90.00
_cell_angle_beta 90.00
_cell_angle_gamma 120.00
_symmetry_space_group_name_H-M 'P -6 m 2'
_symmetry_Int_Tables_number 187
_symmetry_space_group_name_Hall 'P -6 2'
loop_
_atom_site_label
_atom_site_fract_x
_atom_site_fract_y
_atom_site_fract_z
Ca1 0.0000 0.0000 0.0000
Mg1 0.0068 0.5034 0.0000
Mg2 0.1668 0.3336 0.2579
Mg3 0.5011 0.0023 0.5000
Mg4 0.6667 0.3333 0.2458
Al1 0.0000 0.0000 0.5000
```

5.
For Ca4MgAl3, DFT lattice parameters and positions (GGA-PBE) gives the computed X-ray powder pattern in this record (Cu Kα (weighted mean of Kα1 and Kα2)).

Main lines, by angle (10° ≤ 2θ ≤ 90°):
d [Å], I_rel
3.191, 32.0
2.926, 71.1
2.714, 39.6
2.683, 100.0
2.663, 89.4
2.633, 37.0

Crystal structure
```
data_Ca4MgAl3
_cell_length_a 6.172
_cell_length_b 24.183
_cell_length_c 5.855
_cell_angle_alpha 90.00
_cell_angle_beta 90.00
_cell_angle_gamma 90.00
_symmetry_space_group_name_H-M 'P b c m'
_symmetry_Int_Tables_number 57
_symmetry_space_group_name_Hall '-P 2c 2b'
loop_
_atom_site_label
_atom_site_fract_x
_atom_site_fract_y
_atom_site_fract_z
Ca1 0.001 0.045 0.250
Ca2 0.196 0.710 0.750
Ca3 0.248 0.122 0.750
Ca4 0.428 0.641 0.250
Mg1 0.500 0.000 0.000
Al1 0.078 0.176 0.250
Al2 0.247 0.576 0.750
Al3 0.320 0.250 0.000
```

6.
For CaMg14Al, DFT lattice parameters and positions (GGA-PBE) gives the computed X-ray powder pattern in this record (Cu Kα (weighted mean of Kα1 and Kα2)).

Main lines, by angle (10° ≤ 2θ ≤ 90°):
d [Å], I_rel
2.769, 24.1
2.615, 40.3
2.466, 51.2
2.447, 100.0
1.475, 18.7
1.370, 19.2

Crystal structure
```
data_CaMg14Al
_cell_length_a 10.461
_cell_length_b 6.375
_cell_length_c 11.183
_cell_angle_alpha 90.00
_cell_angle_beta 90.00
_cell_angle_gamma 90.00
_symmetry_space_group_name_H-M 'A m m 2'
_symmetry_Int_Tables_number 38
_symmetry_space_group_name_Hall 'A 2 -2'
loop_
_atom_site_label
_atom_site_fract_x
_atom_site_fract_y
_atom_site_fract_z
Ca1 0.000 0.000 0.000
Mg1 0.000 0.245 0.251
Mg2 0.244 0.000 0.663
Mg3 0.254 0.245 0.415
Mg4 0.258 0.000 0.167
Mg5 0.500 0.000 0.499
Mg6 0.500 0.000 0.998
Mg7 0.500 0.247 0.748
Al1 0.000 0.000 0.491
```